# Pm2CoO4
Theoretical powder diffractogram, Cu Kα (λ = 1.5418 Å). Input: a crystal structure in Alexandria, relaxed with PBE+U.

Atomic structure:
abc: 12.2890 5.6595 5.6668
angles: 90.00 90.00 90.00
Space group Cmce (No. 64)
Inequivalent atoms, fractional coordinates:
Pm (0.1526, 0.0000, 0.0000)
Co (0.0000, 0.0000, 0.5000)
O (0.0000, 0.1976, 0.2233)
O (0.2500, 0.2398, 0.7500)

The 6 most intense peaks (15° ≤ 2θ ≤ 90°), by angle:
| d (Å) | Rel. int. | index |
| --- | --- | --- |
| 3.807 | 20 | 1 1 1 |
| 2.864 | 100 | 3 1 1 |
| 2.832 | 35 | 0 2 0 |
| 2.082 | 17 | 4 0 2 |
| 2.002 | 25 | 0 2 2 |
| 1.641 | 39 | 3 1 3 |